Theoretical powder X-ray diffraction pattern of TmSnSe3 for Cu Kα (weighted mean of Kα1 and Kα2), from a cell relaxed with GGA-PBE.
Intensities are scaled so that the largest is 100.

Structural model:
Lattice parameters (Å, degrees): 6.9130 6.9130 6.9735 90.00 90.00 120.00
Space group P-6c2 (No. 188)
One atom of each set of equivalent atoms:
1 Tm 0.0000 0.0000 0.0000 x2
2 Sn 0.6667 0.3333 0.0000 x2
3 Se 0.3273 0.0017 0.2500 x6

The 10 most intense peaks (15° ≤ 2θ ≤ 90°), in order of rising 2θ:
| 2θ/deg | I_rel | h k l |
| --- | --- | --- |
| 25.77 | 21 | 1 1 0 |
| 28.83 | 49 | 1 1 1 |
| 29.65 | 22 | 1 0 2 |
| 36.61 | 100 | 1 1 2 |
| 39.68 | 12 | 2 0 2 |
| 45.45 | 45 | 3 0 0 |
| 47.93 | 13 | 2 1 2 |
| 59.72 | 24 | 2 2 2 |
| 71.91 | 23 | 3 0 4 |
| 78.12 | 23 | 4 1 2 |


Theoretical powder X-ray diffraction pattern of V7As2S2 for Cu Kα (weighted mean of Kα1 and Kα2), from a cell relaxed with GGA-PBE.
Intensities are scaled so that the largest is 100.

Structural model:
Lattice parameters (Å, degrees): 8.583 7.217 5.271 90.00 102.98 90.00
Space group C2/m (No. 12)
One atom of each set of equivalent atoms:
1 V 0.000 0.000 0.000 x2
2 V 0.019 0.500 0.275 x4
3 V 0.235 0.204 0.267 x8
4 As 0.000 0.193 0.500 x4
5 S 0.222 0.500 0.058 x4

The 10 most intense peaks (15° ≤ 2θ ≤ 90°), in order of rising 2θ:
| 2θ/deg | I_rel | h k l |
| --- | --- | --- |
| 30.27 | 100 | 0 2 1 |
| 30.44 | 47 | 2 0 1 |
| 40.97 | 44 | 1 1 2 |
| 43.27 | 95 | 4 0 0 |
| 43.93 | 91 | 1 3 1 |
| 44.06 | 54 | 3 1 -2 |
| 44.75 | 75 | 2 2 -2 |
| 50.09 | 45 | 4 2 -1 |
| 50.64 | 72 | 3 3 -1 |
| 52.35 | 53 | 2 2 2 |


Theoretical powder X-ray diffraction pattern of Er6C2S3Cl for Cu Kα (weighted mean of Kα1 and Kα2), from a cell relaxed with GGA-PBE.
Intensities are scaled so that the largest is 100.

Structural model:
Lattice parameters (Å, degrees): 16.473 3.714 7.716 90.00 102.72 90.00
Space group C2/m (No. 12)
One atom of each set of equivalent atoms:
1 Er 0.020 0.000 0.277 x4
2 Er 0.175 0.500 0.563 x4
3 Er 0.177 0.500 0.129 x4
4 C 0.169 0.000 0.334 x4
5 S 0.000 0.500 0.500 x2
6 S 0.158 0.000 0.838 x4
7 Cl 0.000 0.500 0.000 x2

The 10 most intense peaks (15° ≤ 2θ ≤ 90°), in order of rising 2θ:
| 2θ/deg | I_rel | h k l |
| --- | --- | --- |
| 28.32 | 22 | 2 0 2 |
| 28.71 | 26 | 4 0 -2 |
| 29.26 | 53 | 3 1 0 |
| 33.48 | 100 | 1 1 -2 |
| 47.12 | 9 | 2 0 -4 |
| 47.81 | 17 | 5 1 2 |
| 48.32 | 22 | 7 1 -2 |
| 49.06 | 13 | 0 2 0 |
| 57.84 | 8 | 4 2 -2 |
| 60.69 | 12 | 6 2 0 |


Theoretical powder X-ray diffraction pattern of NaTi2Ga5O12 for Cu Kα (weighted mean of Kα1 and Kα2), from a cell relaxed with GGA-PBE.
Intensities are scaled so that the largest is 100.

Structural model:
Lattice parameters (Å, degrees): 9.480 15.868 3.028 90.00 90.00 90.00
Space group Pbam (No. 55)
One atom of each set of equivalent atoms:
1 Na 0.000 0.000 0.000 x2
2 Ti 0.228 0.357 0.000 x4
3 Ga 0.000 0.500 0.500 x2
4 Ga 0.008 0.199 0.500 x4
5 Ga 0.196 0.647 0.000 x4
6 O 0.104 0.445 0.000 x4
7 O 0.106 0.143 0.000 x4
8 O 0.113 0.755 0.000 x4
9 O 0.140 0.591 0.500 x4
10 O 0.142 0.295 0.500 x4
11 O 0.145 0.895 0.500 x4

The 10 most intense peaks (15° ≤ 2θ ≤ 90°), in order of rising 2θ:
| 2θ/deg | I_rel | h k l |
| --- | --- | --- |
| 19.22 | 53 | 1 3 0 |
| 29.36 | 100 | 2 4 0 |
| 33.02 | 70 | 3 3 0 |
| 35.17 | 76 | 2 0 1 |
| 35.45 | 56 | 1 3 1 |
| 37.36 | 32 | 0 4 1 |
| 49.65 | 27 | 2 6 1 |
| 58.66 | 41 | 3 7 1 |
| 60.18 | 45 | 5 3 1 |
| 66.53 | 27 | 0 10 1 |


Theoretical powder X-ray diffraction pattern of V2Cr3Mo2 for Cu Kα (weighted mean of Kα1 and Kα2), from a cell relaxed with GGA-PBE.
Intensities are scaled so that the largest is 100.

Structural model:
Lattice parameters (Å, degrees): 10.492 2.918 7.042 90.00 116.88 90.00
Space group Cm (No. 8)
One atom of each set of equivalent atoms:
1 V 0.000 0.000 0.000 x2
2 V 0.037 0.000 0.460 x2
3 Cr 0.161 0.500 0.877 x2
4 Cr 0.273 0.000 0.722 x2
5 Cr 0.427 0.000 0.624 x2
6 Mo 0.200 0.500 0.331 x2
7 Mo 0.348 0.000 0.163 x2

The 10 most intense peaks (15° ≤ 2θ ≤ 90°), in order of rising 2θ:
| 2θ/deg | I_rel | h k l |
| --- | --- | --- |
| 36.04 | 13 | 4 0 -2 |
| 40.28 | 100 | 1 1 -2 |
| 41.23 | 46 | 2 0 2 |
| 42.42 | 51 | 3 1 0 |
| 43.02 | 32 | 4 0 -3 |
| 50.90 | 13 | 1 1 -3 |
| 53.77 | 16 | 6 0 -1 |
| 63.80 | 12 | 0 2 0 |
| 77.00 | 12 | 5 1 -5 |
| 78.84 | 12 | 2 2 2 |


Theoretical powder X-ray diffraction pattern of Ti3ZnN for Cu Kα (weighted mean of Kα1 and Kα2), from a cell relaxed with GGA-PBE.
Intensities are scaled so that the largest is 100.

Structural model:
Lattice parameters (Å, degrees): 14.107 2.951 6.947 90.00 96.26 90.00
Space group C2/m (No. 12)
One atom of each set of equivalent atoms:
1 Ti 0.049 0.000 0.204 x4
2 Ti 0.089 0.500 0.562 x4
3 Ti 0.237 0.500 0.318 x4
4 Zn 0.145 0.500 0.938 x4
5 N 0.159 0.000 0.433 x4

The 10 most intense peaks (15° ≤ 2θ ≤ 90°), in order of rising 2θ:
| 2θ/deg | I_rel | h k l |
| --- | --- | --- |
| 35.99 | 33 | 3 1 0 |
| 37.61 | 100 | 3 1 -1 |
| 38.54 | 64 | 4 0 2 |
| 39.33 | 42 | 6 0 -1 |
| 39.87 | 52 | 2 0 -3 |
| 41.20 | 52 | 1 1 2 |
| 51.31 | 20 | 1 1 3 |
| 58.42 | 28 | 7 1 1 |
| 63.01 | 17 | 0 2 0 |
| 77.21 | 15 | 2 2 -3 |


Theoretical powder X-ray diffraction pattern of Ac3LaPt3 for Cu Kα (weighted mean of Kα1 and Kα2), from a cell relaxed with GGA-PBE.
Intensities are scaled so that the largest is 100.

Structural model:
Lattice parameters (Å, degrees): 12.281 12.281 6.168 90.00 90.00 90.00
Space group P4_2/mnm (No. 136)
One atom of each set of equivalent atoms:
1 Ac 0.119 0.371 0.000 x8
2 Ac 0.128 0.128 0.500 x4
3 La 0.126 0.874 0.000 x4
4 Pt 0.116 0.116 0.000 x4
5 Pt 0.127 0.630 0.000 x8

The 10 most intense peaks (15° ≤ 2θ ≤ 90°), in order of rising 2θ:
| 2θ/deg | I_rel | h k l |
| --- | --- | --- |
| 16.13 | 18 | 2 1 0 |
| 28.95 | 44 | 0 0 2 |
| 29.08 | 86 | 4 0 0 |
| 41.53 | 100 | 4 0 2 |
| 51.47 | 36 | 4 4 2 |
| 60.29 | 11 | 8 0 0 |
| 68.03 | 16 | 4 0 4 |
| 68.28 | 30 | 8 0 2 |
| 75.64 | 12 | 4 4 4 |
| 75.84 | 22 | 8 4 2 |


Theoretical powder X-ray diffraction pattern of Ca4Bi2Br4O3 for Cu Kα (weighted mean of Kα1 and Kα2), from a cell relaxed with GGA-PBE.
Intensities are scaled so that the largest is 100.

Structural model:
Lattice parameters (Å, degrees): 4.178 4.178 33.262 90.00 90.00 90.00
Space group P4/mmm (No. 123)
One atom of each set of equivalent atoms:
1 Ca 0.000 0.000 0.140 x2
2 Ca 0.000 0.000 0.261 x2
3 Bi 0.000 0.000 0.437 x2
4 Br 0.000 0.000 0.062 x2
5 Br 0.000 0.000 0.343 x2
6 O 0.000 0.000 0.201 x2
7 O 0.000 0.000 0.500 x1

The 10 most intense peaks (15° ≤ 2θ ≤ 90°), in order of rising 2θ:
| 2θ/deg | I_rel | h k l |
| --- | --- | --- |
| 21.26 | 100 | 1 0 0 |
| 21.41 | 26 | 0 0 8 |
| 26.77 | 20 | 0 0 10 |
| 30.27 | 59 | 1 1 0 |
| 34.45 | 29 | 1 0 10 |
| 40.85 | 16 | 1 1 10 |
| 43.32 | 18 | 2 0 0 |
| 48.75 | 30 | 2 1 0 |
| 51.64 | 13 | 2 0 10 |
| 56.47 | 14 | 2 1 10 |